Record 1
Starting from a PBE-relaxed structure, the XRD peak list of NdDy5Er6 was simulated for Cu Kα X-rays.
Kinematic intensities with the Lorentz-polarization factor, no thermal factor.

Principal peaks in the range 2θ = 5–70°, sorted by position:
31.01 deg, I 1000
35.96 deg, I 506
51.76 deg, I 360
61.56 deg, I 321
61.63 deg, I 106
64.61 deg, I 92
64.73 deg, I 31

Crystal structure
abc: 6.1207 6.1207 11.6992
angles: 94.99 94.99 119.97
Sites, in units of the cell vectors:
Nd  0.0000  0.0000  0.0000
Dy  0.1669  0.8331  0.5000
Dy  0.3333  0.6667  0.0000
Dy  0.5000  0.5000  0.5000
Dy  0.6667  0.3333  0.0000
Dy  0.8331  0.1669  0.5000
Er  0.0834  0.4173  0.2513
Er  0.2505  0.2505  0.7488
Er  0.4173  0.0834  0.2513
Er  0.5827  0.9166  0.7487
Er  0.7495  0.7495  0.2512
Er  0.9166  0.5827  0.7487


Record 2
Starting from a PBE-relaxed structure, the XRD peak list of Li6Y2Ga3 was simulated for Cu Kα X-rays.
Kinematic intensities with the Lorentz-polarization factor, no thermal factor.

Principal peaks in the range 2θ = 5–70°, sorted by position:
13.32 deg, I 773
23.18 deg, I 302
31.48 deg, I 1000
34.32 deg, I 524
35.75 deg, I 220
40.73 deg, I 169
41.83 deg, I 192
42.77 deg, I 150
49.45 deg, I 209
67.41 deg, I 159

Crystal structure
abc: 7.6737 7.6737 4.2285
angles: 90.00 90.00 120.00
Sites, in units of the cell vectors:
Li  0.0000  0.2446  0.0000
Li  0.0000  0.7913  0.5000
Li  0.2087  0.2087  0.5000
Li  0.2446  0.0000  0.0000
Li  0.7554  0.7554  0.0000
Li  0.7913  0.0000  0.5000
Y  0.3333  0.6667  0.5000
Y  0.6667  0.3333  0.5000
Ga  0.0000  0.5799  0.0000
Ga  0.4201  0.4201  0.0000
Ga  0.5799  0.0000  0.0000


Please write out number 1 again, unchanged.
Starting from a PBE-relaxed structure, the XRD peak list of NdDy5Er6 was simulated for Cu Kα X-rays.
Kinematic intensities with the Lorentz-polarization factor, no thermal factor.

Principal peaks in the range 2θ = 5–70°, sorted by position:
31.01 deg, I 1000
35.96 deg, I 506
51.76 deg, I 360
61.56 deg, I 321
61.63 deg, I 106
64.61 deg, I 92
64.73 deg, I 31

Crystal structure
abc: 6.1207 6.1207 11.6992
angles: 94.99 94.99 119.97
Sites, in units of the cell vectors:
Nd  0.0000  0.0000  0.0000
Dy  0.1669  0.8331  0.5000
Dy  0.3333  0.6667  0.0000
Dy  0.5000  0.5000  0.5000
Dy  0.6667  0.3333  0.0000
Dy  0.8331  0.1669  0.5000
Er  0.0834  0.4173  0.2513
Er  0.2505  0.2505  0.7488
Er  0.4173  0.0834  0.2513
Er  0.5827  0.9166  0.7487
Er  0.7495  0.7495  0.2512
Er  0.9166  0.5827  0.7487